Record 1
Theoretical powder XRD pattern of NdAl11O18 for Cu Kα (λ = 1.5418 Å), from DFT lattice parameters and positions (GGA-PBE).
Peak positions follow from Bragg's law for the DFT cell and can differ from measured ones.

Structure:
a b c (Å): 4.892 5.585 12.467
angles (deg): 83.18 88.33 64.48
Sites, in units of the cell vectors:
Nd1 0.000 0.000 0.000
Al1 0.000 0.000 0.500
Al2 0.075 0.812 0.717
Al3 0.230 0.479 0.917
Al4 0.337 0.309 0.662
Al5 0.346 0.368 0.179
Al6 0.415 0.188 0.401
Al7 0.585 0.812 0.599
Al8 0.654 0.632 0.821
Al9 0.663 0.691 0.338
Al10 0.770 0.521 0.083
Al11 0.925 0.188 0.283
O1 0.005 0.679 0.588
O2 0.085 0.446 0.788
O3 0.153 0.067 0.628
O4 0.196 0.294 0.047
O5 0.235 0.810 0.848
O6 0.345 0.055 0.267
O7 0.373 0.651 0.095
O8 0.429 0.825 0.463
O9 0.492 0.444 0.312
O10 0.508 0.556 0.688
O11 0.571 0.175 0.537
O12 0.627 0.349 0.905
O13 0.655 0.945 0.733
O14 0.765 0.190 0.152
O15 0.804 0.706 0.953
O16 0.847 0.933 0.372
O17 0.915 0.554 0.212
O18 0.995 0.321 0.412

Largest 6 diffraction maxima, by intensity, 2θ from 15° to 90°:
- 21.5°, I 100, (1 0 1)
- 22.1°, I 36, (1 1 -1)
- 53.3°, I 31, (-2 1 2)
- 35.8°, I 30, (1 0 4)
- 32.2°, I 29, (0 1 4)
- 37.3°, I 29, (1 2 3)

---

Record 2
Theoretical powder XRD pattern of CaAcUO6 for Cu Kα (λ = 1.5418 Å), from DFT lattice parameters and positions (GGA-PBE).
Peak positions follow from Bragg's law for the DFT cell and can differ from measured ones.

Structure:
a b c (Å): 5.869 5.869 5.116
angles (deg): 90.00 90.00 120.00
Sites, in units of the cell vectors:
Ca1 0.000 0.000 0.000
Ac1 0.667 0.333 0.500
U1 0.333 0.667 0.000
O1 0.039 0.368 0.220
O2 0.039 0.671 0.780
O3 0.329 0.368 0.780
O4 0.329 0.961 0.220
O5 0.632 0.671 0.220
O6 0.632 0.961 0.780

Largest 6 diffraction maxima, by intensity, 2θ from 15° to 90°:
- 24.7°, I 100, (1 0 1)
- 30.5°, I 38, (1 1 0)
- 47.1°, I 33, (2 -1 2)
- 50.8°, I 29, (3 -1 1)
- 39.6°, I 29, (2 0 1)
- 17.4°, I 25, (1 0 0)